# 1
Structure and simulated PXRD pattern of ZnSiO3 (a cell relaxed with GGA-PBE; Cu Kα (weighted mean of Kα1 and Kα2)).
Intensities are scaled so that the largest is 100.

Top 12 peaks for 5° ≤ 2θ ≤ 70°, by angle:
13.40°, d = 6.609 Å, I 74
19.18°, d = 4.627 Å, I 72
26.98°, d = 3.305 Å, I 75
28.03°, d = 3.183 Å, I 92
29.99°, d = 2.980 Å, I 39
30.49°, d = 2.932 Å, I 80
33.10°, d = 2.707 Å, I 100
36.23°, d = 2.479 Å, I 56
39.95°, d = 2.257 Å, I 60
41.92°, d = 2.155 Å, I 38
54.24°, d = 1.691 Å, I 42
67.36°, d = 1.390 Å, I 33

Structure:
Unit cell a=6.887 b=6.887 c=5.373 alpha=106.28 beta=106.28 gamma=86.56
Fractional coordinates of all 20 atoms:
Zn 0.116 0.884 0.750
Zn 0.231 0.769 0.250
Zn 0.769 0.231 0.750
Zn 0.884 0.116 0.250
Si 0.217 0.385 0.767
Si 0.385 0.217 0.267
Si 0.615 0.783 0.733
Si 0.783 0.615 0.233
O 0.034 0.212 0.641
O 0.145 0.616 0.874
O 0.212 0.034 0.141
O 0.328 0.376 0.530
O 0.376 0.328 0.030
O 0.384 0.855 0.626
O 0.616 0.145 0.374
O 0.624 0.672 0.970
O 0.672 0.624 0.470
O 0.788 0.966 0.859
O 0.855 0.384 0.126
O 0.966 0.788 0.359

# 2
Structure and simulated PXRD pattern of ZnSiO3 (a cell relaxed with GGA-PBE; Cu Kα (weighted mean of Kα1 and Kα2)).
Intensities are scaled so that the largest is 100.

Top 12 peaks for 5° ≤ 2θ ≤ 70°, by angle:
13.48°, d = 6.570 Å, I 64
19.15°, d = 4.635 Å, I 70
27.15°, d = 3.285 Å, I 57
28.53°, d = 3.129 Å, I 100
30.48°, d = 2.933 Å, I 74
33.61°, d = 2.667 Å, I 92
36.35°, d = 2.472 Å, I 57
37.30°, d = 2.411 Å, I 25
40.57°, d = 2.224 Å, I 67
42.81°, d = 2.112 Å, I 26
54.85°, d = 1.674 Å, I 42
67.12°, d = 1.395 Å, I 37

Structure:
Unit cell a=9.429 b=9.312 c=5.299 alpha=90.00 beta=100.51 gamma=90.00
Fractional coordinates of all 40 atoms:
Zn 0.245 0.005 0.470
Zn 0.245 0.495 0.970
Zn 0.250 0.146 0.977
Zn 0.250 0.354 0.477
Zn 0.750 0.646 0.523
Zn 0.750 0.854 0.023
Zn 0.755 0.505 0.030
Zn 0.755 0.995 0.530
Si 0.056 0.667 0.313
Si 0.056 0.833 0.813
Si 0.454 0.663 0.747
Si 0.454 0.837 0.247
Si 0.546 0.163 0.753
Si 0.546 0.337 0.253
Si 0.944 0.167 0.187
Si 0.944 0.333 0.687
O 0.102 0.704 0.624
O 0.102 0.796 0.124
O 0.123 0.160 0.248
O 0.123 0.340 0.748
O 0.138 0.522 0.247
O 0.138 0.978 0.747
O 0.368 0.164 0.697
O 0.368 0.336 0.197
O 0.376 0.506 0.722
O 0.376 0.994 0.222
O 0.397 0.739 0.992
O 0.397 0.761 0.492
O 0.603 0.239 0.508
O 0.603 0.261 0.008
O 0.624 0.006 0.778
O 0.624 0.494 0.278
O 0.632 0.664 0.803
O 0.632 0.836 0.303
O 0.862 0.022 0.253
O 0.862 0.478 0.753
O 0.877 0.660 0.252
O 0.877 0.840 0.752
O 0.898 0.204 0.876
O 0.898 0.296 0.376

# 3
Structure and simulated PXRD pattern of ZnSiO3 (a cell relaxed with GGA-PBE; Cu Kα (weighted mean of Kα1 and Kα2)).
Intensities are scaled so that the largest is 100.

Top 6 peaks for 5° ≤ 2θ ≤ 70°, by angle:
25.14°, d = 3.542 Å, I 10
35.85°, d = 2.505 Å, I 100
44.29°, d = 2.045 Å, I 42
51.61°, d = 1.771 Å, I 50
58.24°, d = 1.584 Å, I 6
64.43°, d = 1.446 Å, I 36

Structure:
Unit cell a=3.542 b=3.542 c=3.542 alpha=90.00 beta=90.00 gamma=90.00
Fractional coordinates of all 5 atoms:
Zn 0.000 0.000 0.000
Si 0.500 0.500 0.500
O 0.000 0.500 0.500
O 0.500 0.000 0.500
O 0.500 0.500 0.000

# 4
Structure and simulated PXRD pattern of Zn2SiO4 (a cell relaxed with GGA-PBE; Cu Kα (weighted mean of Kα1 and Kα2)).
Intensities are scaled so that the largest is 100.

Top 12 peaks for 5° ≤ 2θ ≤ 70°, by angle:
21.53°, d = 4.127 Å, I 32
24.30°, d = 3.663 Å, I 100
26.43°, d = 3.372 Å, I 59
31.59°, d = 2.832 Å, I 57
32.90°, d = 2.722 Å, I 39
34.37°, d = 2.609 Å, I 63
34.89°, d = 2.571 Å, I 55
35.97°, d = 2.497 Å, I 33
36.21°, d = 2.481 Å, I 81
41.21°, d = 2.191 Å, I 39
59.83°, d = 1.546 Å, I 37
66.90°, d = 1.399 Å, I 51

Structure:
Unit cell a=10.435 b=6.744 c=5.143 alpha=90.00 beta=90.00 gamma=90.00
Fractional coordinates of all 28 atoms:
Zn 0.156 0.001 0.174
Zn 0.156 0.499 0.174
Zn 0.344 0.501 0.674
Zn 0.344 0.999 0.674
Zn 0.656 0.001 0.326
Zn 0.656 0.499 0.326
Zn 0.844 0.501 0.826
Zn 0.844 0.999 0.826
Si 0.093 0.750 0.677
Si 0.407 0.250 0.177
Si 0.593 0.750 0.823
Si 0.907 0.250 0.323
O 0.059 0.250 0.236
O 0.112 0.750 0.358
O 0.164 0.551 0.794
O 0.164 0.949 0.794
O 0.336 0.051 0.294
O 0.336 0.449 0.294
O 0.388 0.250 0.858
O 0.441 0.750 0.736
O 0.559 0.250 0.264
O 0.612 0.750 0.142
O 0.664 0.551 0.706
O 0.664 0.949 0.706
O 0.836 0.051 0.206
O 0.836 0.449 0.206
O 0.888 0.250 0.642
O 0.941 0.750 0.764

# 5
Structure and simulated PXRD pattern of ZnSiO3 (a cell relaxed with GGA-PBE; Cu Kα (weighted mean of Kα1 and Kα2)).
Intensities are scaled so that the largest is 100.

Top 12 peaks for 5° ≤ 2θ ≤ 70°, by angle:
17.08°, d = 5.192 Å, I 19
18.73°, d = 4.739 Å, I 11
25.42°, d = 3.504 Å, I 100
27.43°, d = 3.251 Å, I 21
29.55°, d = 3.022 Å, I 11
37.70°, d = 2.386 Å, I 20
41.66°, d = 2.168 Å, I 15
42.97°, d = 2.105 Å, I 13
50.77°, d = 1.798 Å, I 8
53.96°, d = 1.699 Å, I 14
56.27°, d = 1.635 Å, I 10
63.29°, d = 1.469 Å, I 8

Structure:
Unit cell a=7.552 b=7.552 c=7.552 alpha=102.27 beta=93.15 gamma=137.10
Fractional coordinates of all 20 atoms:
Zn 0.041 0.250 0.791
Zn 0.459 0.250 0.209
Zn 0.541 0.750 0.791
Zn 0.959 0.750 0.209
Si 0.081 0.720 0.801
Si 0.419 0.220 0.639
Si 0.581 0.780 0.361
Si 0.919 0.280 0.199
O 0.122 0.886 0.008
O 0.205 0.614 0.819
O 0.250 0.563 0.313
O 0.250 0.937 0.687
O 0.295 0.114 0.409
O 0.378 0.386 0.765
O 0.622 0.614 0.235
O 0.705 0.886 0.591
O 0.750 0.063 0.313
O 0.750 0.437 0.687
O 0.795 0.386 0.181
O 0.878 0.114 0.992

# 6
Structure and simulated PXRD pattern of ZnSiO3 (a cell relaxed with GGA-PBE; Cu Kα (weighted mean of Kα1 and Kα2)).
Intensities are scaled so that the largest is 100.

Top 12 peaks for 5° ≤ 2θ ≤ 70°, by angle:
22.28°, d = 3.991 Å, I 27
24.88°, d = 3.579 Å, I 17
33.43°, d = 2.680 Å, I 100
37.41°, d = 2.404 Å, I 60
38.74°, d = 2.324 Å, I 20
42.29°, d = 2.137 Å, I 34
43.98°, d = 2.059 Å, I 15
51.04°, d = 1.789 Å, I 35
54.81°, d = 1.675 Å, I 24
57.06°, d = 1.614 Å, I 13
64.97°, d = 1.435 Å, I 30
67.49°, d = 1.388 Å, I 28

Structure:
Unit cell a=5.432 b=5.432 c=5.432 alpha=52.52 beta=52.52 gamma=52.52
Fractional coordinates of all 10 atoms:
Zn 0.131 0.131 0.131
Zn 0.869 0.869 0.869
Si 0.339 0.339 0.339
Si 0.661 0.661 0.661
O 0.063 0.698 0.454
O 0.302 0.546 0.937
O 0.454 0.063 0.698
O 0.546 0.937 0.302
O 0.698 0.454 0.063
O 0.937 0.302 0.546

# 7
Structure and simulated PXRD pattern of ZrSiO3 (a cell relaxed with GGA-PBE; Cu Kα (weighted mean of Kα1 and Kα2)).
Intensities are scaled so that the largest is 100.

Top 6 peaks for 5° ≤ 2θ ≤ 70°, by angle:
24.30°, d = 3.663 Å, I 24
34.63°, d = 2.590 Å, I 100
42.75°, d = 2.115 Å, I 41
49.78°, d = 1.832 Å, I 43
56.14°, d = 1.638 Å, I 11
62.06°, d = 1.496 Å, I 37

Structure:
Unit cell a=3.663 b=3.663 c=3.663 alpha=90.00 beta=90.00 gamma=90.00
Fractional coordinates of all 5 atoms:
Zr 0.000 0.000 0.000
Si 0.500 0.500 0.500
O 0.000 0.500 0.500
O 0.500 0.000 0.500
O 0.500 0.500 0.000